Structure and theoretical powder X-ray diffraction pattern of Nb2TlO7 (a GGA-PBE-relaxed structure; Cu Kα).
Intensities are scaled so that the largest is 100.

```
data_Nb2TlO7
_cell_length_a 7.3787
_cell_length_b 7.5713
_cell_length_c 10.9257
_cell_angle_alpha 90.00
_cell_angle_beta 90.00
_cell_angle_gamma 90.00
_symmetry_space_group_name_H-M 'I m m a'
_symmetry_Int_Tables_number 74
_symmetry_space_group_name_Hall '-I 2b 2'
loop_
_atom_site_label
_atom_site_fract_x
_atom_site_fract_y
_atom_site_fract_z
_atom_site_occupancy
Nb1 0.0000 0.0000 0.0000 1
Nb2 0.2500 0.2500 0.2500 1
Tl1 0.2500 0.2500 0.7500 1
O1 0.0000 0.2500 0.3120 1
O2 0.0000 0.2500 0.6630 1
O3 0.0000 0.2500 0.9417 1
O4 0.1831 0.0583 0.1297 1
```

Top 8 peaks for 10° ≤ 2θ ≤ 90°, by angle:
Position (°2θ), intensity, (hkl)
14.49, 46, 1 0 1
16.23, 55, 0 0 2
28.69, 100, 0 2 2
29.21, 91, 2 0 2
33.93, 39, 2 2 0
47.90, 57, 2 2 4
57.25, 29, 2 4 2
58.14, 27, 4 2 2